Entry 1:
Diffraction record for AcNd4SmS8. The powder diffractogram is computed, not measured: it uses a DFT-relaxed cell (PBE, Alexandria) and λ = 1.5418 Å (Cu Kα).
Kinematic intensities with the Lorentz-polarization factor, no thermal factor.

Structure:
Unit cell a=8.4127 b=8.4127 c=20.5373 alpha=90.00 beta=90.00 gamma=120.00
Space group R3m (No. 160, hexagonal axes)
Asymmetric unit:
Ac (0.0000, 0.0000, 0.0000) x3
Nd (0.0000, 0.0000, 0.2493) x3
Nd (0.0049, 0.5025, 0.1254) x9
Sm (0.0000, 0.0000, 0.6233) x3
S (0.0000, 0.0000, 0.3811) x3
S (0.0000, 0.0000, 0.8625) x3
S (0.0348, 0.5174, 0.3780) x9
S (0.1771, 0.3541, 0.2072) x9

Main lines, most intense first (15° ≤ 2θ ≤ 90°):
Position (°2θ), intensity
24.85, 100
39.39, 43
21.14, 34
43.01, 28
43.11, 28
59.74, 19
78.87, 13
30.08, 12
37.04, 12
50.31, 11

=====

Entry 2:
Diffraction record for AcNd2YS6. The powder diffractogram is computed, not measured: it uses a DFT-relaxed cell (PBE, Alexandria) and λ = 1.5418 Å (Cu Kα).
Kinematic intensities with the Lorentz-polarization factor, no thermal factor.

Structure:
Unit cell a=7.2291 b=7.2291 c=19.0085 alpha=90.00 beta=90.00 gamma=120.00
Space group R3 (No. 146, hexagonal axes)
Asymmetric unit:
Ac (0.0000, 0.0000, 0.0000) x3
Nd (0.0000, 0.0000, 0.2835) x3
Nd (0.0000, 0.0000, 0.7901) x3
Y (0.0000, 0.0000, 0.4895) x3
S (0.0228, 0.7271, 0.3906) x9
S (0.0338, 0.3560, 0.5558) x9

Main lines, most intense first (15° ≤ 2θ ≤ 90°):
Position (°2θ), intensity
23.50, 100
24.63, 93
37.76, 59
42.69, 51
34.30, 51
43.36, 46
16.96, 29
28.43, 21
50.16, 18
56.42, 17

=====

Entry 3:
Diffraction record for AcNd2YS4. The powder diffractogram is computed, not measured: it uses a DFT-relaxed cell (PBE, Alexandria) and λ = 1.5418 Å (Cu Kα).
Kinematic intensities with the Lorentz-polarization factor, no thermal factor.

Structure:
Unit cell a=7.0652 b=4.0515 c=7.1909 alpha=90.00 beta=108.90 gamma=90.00
Space group P2/m (No. 10)
Asymmetric unit:
Ac (0.0000, 0.0000, 0.0000) x1
Nd (0.5000, 0.0000, 0.5000) x1
Nd (0.5000, 0.5000, 0.0000) x1
Y (0.0000, 0.5000, 0.5000) x1
S (0.2436, 0.0000, 0.7343) x2
S (0.2544, 0.5000, 0.2658) x2

Main lines, most intense first (15° ≤ 2θ ≤ 90°):
Position (°2θ), intensity
30.86, 100
26.84, 38
43.89, 25
44.50, 24
26.20, 20
26.67, 19
43.69, 12
55.32, 12
44.74, 12
64.29, 12

=====

Entry 4:
Diffraction record for AcNd3Sb4. The powder diffractogram is computed, not measured: it uses a DFT-relaxed cell (PBE, Alexandria) and λ = 1.5418 Å (Cu Kα).
Kinematic intensities with the Lorentz-polarization factor, no thermal factor.

Structure:
Unit cell a=6.5045 b=6.5045 c=6.5045 alpha=90.00 beta=90.00 gamma=90.00
Space group Pm-3m (No. 221)
Asymmetric unit:
Ac (0.0000, 0.0000, 0.0000) x1
Nd (0.0000, 0.5000, 0.5000) x3
Sb (0.0000, 0.0000, 0.5000) x3
Sb (0.5000, 0.5000, 0.5000) x1

Main lines, most intense first (15° ≤ 2θ ≤ 90°):
Position (°2θ), intensity
27.42, 100
39.17, 77
64.02, 36
48.48, 28
70.99, 27
56.60, 13
84.21, 9
23.69, 4
46.29, 2
19.30, 2

=====

Entry 5:
Diffraction record for Ac3NdSb4. The powder diffractogram is computed, not measured: it uses a DFT-relaxed cell (PBE, Alexandria) and λ = 1.5418 Å (Cu Kα).
Kinematic intensities with the Lorentz-polarization factor, no thermal factor.

Structure:
Unit cell a=6.7009 b=6.7009 c=6.7009 alpha=90.00 beta=90.00 gamma=90.00
Space group Pm-3m (No. 221)
Asymmetric unit:
Ac (0.0000, 0.0000, 0.5000) x3
Nd (0.5000, 0.5000, 0.5000) x1
Sb (0.0000, 0.0000, 0.0000) x1
Sb (0.0000, 0.5000, 0.5000) x3

Main lines, most intense first (15° ≤ 2θ ≤ 90°):
Position (°2θ), intensity
26.61, 100
37.98, 79
61.93, 38
46.97, 29
68.61, 28
87.30, 19
54.80, 14
22.99, 11
81.20, 9
44.86, 6

=====

Entry 6:
Diffraction record for AcNd5Sb6. The powder diffractogram is computed, not measured: it uses a DFT-relaxed cell (PBE, Alexandria) and λ = 1.5418 Å (Cu Kα).
Kinematic intensities with the Lorentz-polarization factor, no thermal factor.

Structure:
Unit cell a=7.9219 b=13.7203 c=7.9229 alpha=90.00 beta=109.52 gamma=90.00
Space group C2/m (No. 12)
Asymmetric unit:
Ac (0.0000, 0.0000, 0.0000) x2
Nd (0.0000, 0.1642, 0.5000) x4
Nd (0.0000, 0.3325, 0.0000) x4
Nd (0.0000, 0.5000, 0.5000) x2
Sb (0.2429, 0.5000, 0.2532) x4
Sb (0.2440, 0.3295, 0.7443) x8

Main lines, most intense first (15° ≤ 2θ ≤ 90°):
Position (°2θ), intensity
27.58, 100
39.40, 77
64.42, 36
48.77, 28
71.45, 26
56.95, 13
84.79, 8
23.83, 3
46.57, 2
62.61, 1

=====

Entry 7:
Diffraction record for AcNdSbSe. The powder diffractogram is computed, not measured: it uses a DFT-relaxed cell (PBE, Alexandria) and λ = 1.5418 Å (Cu Kα).
Kinematic intensities with the Lorentz-polarization factor, no thermal factor.

Structure:
Unit cell a=5.2437 b=5.2437 c=35.3879 alpha=90.00 beta=90.00 gamma=120.00
Space group R-3m (No. 166, hexagonal axes)
Asymmetric unit:
Ac (0.0000, 0.0000, 0.2043) x6
Nd (0.0000, 0.0000, 0.3782) x6
Sb (0.0000, 0.0000, 0.0988) x6
Se (0.0000, 0.0000, 0.2965) x6

Main lines, most intense first (15° ≤ 2θ ≤ 90°):
Position (°2θ), intensity
34.20, 100
32.07, 65
20.19, 45
26.38, 37
46.34, 35
59.89, 22
47.58, 22
30.31, 19
61.23, 17
22.00, 12

=====

Entry 8:
Diffraction record for Ac2Nd6Sc. The powder diffractogram is computed, not measured: it uses a DFT-relaxed cell (PBE, Alexandria) and λ = 1.5418 Å (Cu Kα).
Kinematic intensities with the Lorentz-polarization factor, no thermal factor.

Structure:
Unit cell a=15.5977 b=10.1197 c=9.2802 alpha=90.00 beta=117.76 gamma=90.00
Space group C2/c (No. 15)
Asymmetric unit:
Ac (0.0952, 0.0667, 0.1841) x8
Nd (0.0796, 0.4126, 0.1560) x8
Nd (0.1647, 0.2577, 0.5778) x8
Nd (0.2328, 0.4068, 0.9727) x8
Sc (0.0000, 0.2631, 0.7500) x4

Main lines, most intense first (15° ≤ 2θ ≤ 90°):
Position (°2θ), intensity
30.49, 100
30.07, 27
30.27, 21
24.79, 12
60.60, 10
39.56, 10
54.18, 9
53.64, 9
43.55, 9
43.20, 9